Nd8Tm5Pu: theoretical powder diffraction line list (a wavelength of 1.5418 Å), based on a structure optimized by DFT (PBE).

Top 10 peaks for 2θ from 5° to 70°, by angle:
25.48 deg, intensity 22
29.81 deg, intensity 25
30.29 deg, intensity 39
31.19 deg, intensity 54
31.61 deg, intensity 100
32.63 deg, intensity 44
34.62 deg, intensity 54
36.15 deg, intensity 20
51.17 deg, intensity 16
58.37 deg, intensity 13

Lattice parameters (Å, degrees): 8.5374 8.5374 9.3889 122.20 122.20 62.73
Atoms (fractional coordinates):
1 Nd 0.0329 0.0329 0.3610
2 Nd 0.0946 0.4125 0.8273
3 Nd 0.2298 0.4064 0.2861
4 Nd 0.4741 0.1271 0.5706
5 Nd 0.5875 0.9054 0.1727
6 Nd 0.5936 0.7702 0.7139
7 Nd 0.8729 0.5259 0.4294
8 Nd 0.9671 0.9671 0.6390
9 Tm 0.0369 0.9631 0.0000
10 Tm 0.3256 0.5991 0.7752
11 Tm 0.4009 0.6744 0.2248
12 Tm 0.5863 0.2205 0.0480
13 Tm 0.7795 0.4137 0.9520
14 Pu 0.6771 0.3229 0.5000



Nd14TmPu: theoretical powder diffraction line list (a wavelength of 1.5418 Å), based on a structure optimized by DFT (PBE).

Top 10 peaks for 2θ from 5° to 70°, by angle:
8.58 deg, intensity 1
17.17 deg, intensity 1
19.21 deg, intensity 1
29.97 deg, intensity 100
34.75 deg, intensity 51
35.86 deg, intensity 1
49.96 deg, intensity 36
59.32 deg, intensity 29
59.45 deg, intensity 14
62.29 deg, intensity 12

Lattice parameters (Å, degrees): 7.3090 7.3090 10.3089 90.00 90.00 90.00
Atoms (fractional coordinates):
1 Nd 0.0000 0.0000 0.0000
2 Nd 0.0000 0.5000 0.0000
3 Nd 0.0000 0.5000 0.5000
4 Nd 0.2492 0.2492 0.2550
5 Nd 0.2492 0.2492 0.7450
6 Nd 0.2492 0.7508 0.2550
7 Nd 0.2492 0.7508 0.7450
8 Nd 0.5000 0.0000 0.0000
9 Nd 0.5000 0.0000 0.5000
10 Nd 0.5000 0.5000 0.0000
11 Nd 0.7508 0.2492 0.2550
12 Nd 0.7508 0.2492 0.7450
13 Nd 0.7508 0.7508 0.2550
14 Nd 0.7508 0.7508 0.7450
15 Tm 0.5000 0.5000 0.5000
16 Pu 0.0000 0.0000 0.5000